(1)
Ba2Ag5Au12: theoretical powder diffractogram (copper Kα), based on a crystal structure in Alexandria, relaxed with PBE.

Atomic structure:
```
Ba2Ag5Au12
1.0
4.914 2.837 4.787
-4.914 2.837 4.787
0.000 -5.674 4.787
Ba Ag Au
2 5 12
direct
0.156 0.156 0.156 Ba
0.844 0.844 0.844 Ba
0.000 0.500 0.500 Ag
0.403 0.403 0.403 Ag
0.500 0.000 0.500 Ag
0.500 0.500 0.000 Ag
0.597 0.597 0.597 Ag
0.155 0.155 0.653 Au
0.155 0.653 0.155 Au
0.200 0.500 0.800 Au
0.200 0.800 0.500 Au
0.347 0.845 0.845 Au
0.500 0.200 0.800 Au
0.500 0.800 0.200 Au
0.653 0.155 0.155 Au
0.800 0.200 0.500 Au
0.800 0.500 0.200 Au
0.845 0.347 0.845 Au
0.845 0.845 0.347 Au
```

The 12 most intense peaks (2θ from 15° to 90°), most intense first:
2θ (°)  I/Imax
36.83  100.0
41.30  79.5
37.58  38.9
36.57  37.8
18.05  31.3
32.63  30.2
31.53  25.8
41.99  22.6
65.84  21.3
67.33  18.9
59.66  18.0
78.36  16.6

(2)
Ba5Ag2Au: theoretical powder diffractogram (copper Kα), based on a crystal structure in Alexandria, relaxed with PBE.

Atomic structure:
```
Ba5Ag2Au
1.0
9.948 -4.029 0.000
9.948 4.029 0.000
-1.118 0.000 8.921
Ba Ag Au
10 4 2
direct
0.073 0.927 0.750 Ba
0.128 0.295 0.312 Ba
0.295 0.128 0.812 Ba
0.305 0.508 0.080 Ba
0.492 0.695 0.420 Ba
0.508 0.305 0.580 Ba
0.695 0.492 0.920 Ba
0.705 0.872 0.188 Ba
0.872 0.705 0.688 Ba
0.927 0.073 0.250 Ba
0.101 0.696 0.423 Ag
0.304 0.899 0.077 Ag
0.696 0.101 0.923 Ag
0.899 0.304 0.577 Ag
0.000 0.500 0.000 Au
0.500 0.000 0.500 Au
```

The 12 most intense peaks (2θ from 15° to 90°), most intense first:
2θ (°)  I/Imax
31.87  100.0
28.10  94.4
25.12  93.6
24.24  62.9
31.72  61.8
26.32  58.7
37.07  57.9
41.74  56.0
29.88  48.9
25.23  47.3
38.01  44.2
27.10  44.1

(3)
Ba6Ag2Au: theoretical powder diffractogram (copper Kα), based on a crystal structure in Alexandria, relaxed with PBE.

Atomic structure:
```
Ba6Ag2Au
1.0
7.983 0.000 0.000
0.000 8.904 0.000
-7.735 0.000 11.978
Ba Ag Au
12 4 2
direct
0.095 0.042 0.250 Ba
0.095 0.458 0.750 Ba
0.242 0.678 0.073 Ba
0.242 0.822 0.573 Ba
0.403 0.176 0.068 Ba
0.403 0.324 0.568 Ba
0.597 0.676 0.432 Ba
0.597 0.824 0.932 Ba
0.758 0.178 0.427 Ba
0.758 0.322 0.927 Ba
0.905 0.542 0.250 Ba
0.905 0.958 0.750 Ba
0.313 0.119 0.755 Ag
0.313 0.381 0.255 Ag
0.687 0.619 0.745 Ag
0.687 0.881 0.245 Ag
0.000 0.000 0.000 Au
0.000 0.500 0.500 Au
```

The 12 most intense peaks (2θ from 15° to 90°), most intense first:
2θ (°)  I/Imax
25.43  100.0
25.15  78.6
23.99  71.2
32.18  64.4
30.07  52.9
24.44  48.1
38.65  47.8
38.09  41.0
27.10  40.0
27.22  39.2
44.56  39.1
27.48  34.2

(4)
Ba8AgAu4: theoretical powder diffractogram (copper Kα), based on a crystal structure in Alexandria, relaxed with PBE.

Atomic structure:
```
Ba8AgAu4
1.0
10.445 -2.381 0.000
10.445 2.381 0.000
-10.058 0.000 11.339
Ba Ag Au
8 1 4
direct
0.000 0.000 0.000 Ba
0.002 0.002 0.564 Ba
0.075 0.075 0.358 Ba
0.277 0.277 0.847 Ba
0.350 0.350 0.641 Ba
0.352 0.352 0.205 Ba
0.639 0.639 0.915 Ba
0.713 0.713 0.290 Ba
0.676 0.676 0.602 Ag
0.355 0.355 0.427 Au
0.489 0.489 0.146 Au
0.864 0.864 0.058 Au
0.997 0.997 0.778 Au
```

The 12 most intense peaks (2θ from 15° to 90°), most intense first:
2θ (°)  I/Imax
25.34  100.0
29.79  92.6
30.57  92.3
37.79  73.7
31.13  71.0
35.86  66.0
27.60  48.7
33.86  47.3
25.75  41.7
22.40  38.7
18.06  38.2
29.65  37.6

(5)
Ba7Ag4Au: theoretical powder diffractogram (copper Kα), based on a crystal structure in Alexandria, relaxed with PBE.

Atomic structure:
```
Ba7Ag4Au
1.0
7.965 -2.363 0.000
7.965 2.363 0.000
-3.722 0.000 14.052
Ba Ag Au
7 4 1
direct
0.000 0.000 0.000 Ba
0.220 0.220 0.857 Ba
0.291 0.291 0.420 Ba
0.521 0.521 0.281 Ba
0.602 0.602 0.592 Ba
0.754 0.754 0.143 Ba
0.911 0.911 0.687 Ba
0.256 0.256 0.639 Ag
0.374 0.374 0.066 Ag
0.555 0.555 0.830 Ag
0.958 0.958 0.448 Ag
0.139 0.139 0.214 Au
```

The 12 most intense peaks (2θ from 15° to 90°), most intense first:
2θ (°)  I/Imax
26.56  100.0
25.30  80.0
24.65  67.0
27.47  61.1
38.08  59.6
29.21  57.9
36.74  44.7
25.02  41.3
31.04  38.2
37.75  38.1
33.47  36.7
25.62  33.6

(6)
BaAgAuF6: theoretical powder diffractogram (copper Kα), based on a crystal structure in Alexandria, relaxed with PBE.

Atomic structure:
```
BaAgAuF6
1.0
5.044 0.000 0.000
-1.558 4.857 0.000
-1.582 -2.084 6.707
Ba Ag Au F
1 1 1 6
direct
0.000 0.000 0.000 Ba
0.298 0.796 0.499 Ag
0.802 0.307 0.503 Au
0.033 0.371 0.779 F
0.145 0.596 0.181 F
0.423 0.979 0.818 F
0.572 0.241 0.225 F
0.646 0.600 0.618 F
0.977 0.029 0.392 F
```

The 12 most intense peaks (2θ from 15° to 90°), most intense first:
2θ (°)  I/Imax
25.35  100.0
25.59  83.8
26.58  78.4
32.14  58.3
33.53  56.7
37.06  52.4
37.47  45.8
29.94  44.7
19.40  37.5
46.47  37.3
19.78  36.8
21.69  34.7

(7)
BaGa2AgAu5: theoretical powder diffractogram (copper Kα), based on a crystal structure in Alexandria, relaxed with PBE.

Atomic structure:
```
BaGa2AgAu5
1.0
5.059 0.000 0.000
0.000 5.059 0.000
0.000 0.000 8.295
Ba Ga Ag Au
1 2 1 5
direct
0.000 0.000 0.000 Ba
0.500 0.500 0.304 Ga
0.500 0.500 0.696 Ga
0.000 0.000 0.500 Ag
0.000 0.500 0.322 Au
0.000 0.500 0.678 Au
0.500 0.000 0.322 Au
0.500 0.000 0.678 Au
0.500 0.500 0.000 Au
```

The 12 most intense peaks (2θ from 15° to 90°), most intense first:
2θ (°)  I/Imax
35.49  100.0
33.07  83.6
27.15  55.3
48.80  53.9
32.38  41.7
51.07  35.6
62.20  27.6
61.77  26.8
50.90  16.8
85.93  16.7
78.91  16.6
58.79  13.5

(8)
Ba2AgGeAu6: theoretical powder diffractogram (copper Kα), based on a crystal structure in Alexandria, relaxed with PBE.

Atomic structure:
```
Ba2AgGeAu6
1.0
6.956 0.000 0.000
3.449 6.409 0.000
3.465 2.079 6.067
Ba Ag Ge Au
2 1 1 6
direct
0.215 0.285 0.285 Ba
0.785 0.715 0.715 Ba
0.500 0.500 0.500 Ag
0.000 0.000 0.000 Ge
0.244 0.757 0.757 Au
0.293 0.800 0.200 Au
0.299 0.194 0.805 Au
0.701 0.806 0.195 Au
0.707 0.200 0.800 Au
0.756 0.243 0.243 Au
```

The 12 most intense peaks (2θ from 15° to 90°), most intense first:
2θ (°)  I/Imax
35.30  100.0
29.46  96.9
34.38  67.8
30.84  46.5
30.96  46.4
50.18  32.0
50.02  32.0
37.20  25.5
28.70  20.5
52.64  19.3
17.00  18.6
17.44  17.8

(9)
Ba2AgH6Au: theoretical powder diffractogram (copper Kα), based on a crystal structure in Alexandria, relaxed with PBE.

Atomic structure:
```
Ba2AgH6Au
1.0
0.000 4.211 4.232
3.988 0.000 4.232
3.988 4.211 0.000
Ba Ag H Au
2 1 6 1
direct
0.000 0.000 0.500 Ba
0.500 0.500 0.000 Ba
0.250 0.250 0.750 Ag
0.021 0.481 0.519 H
0.022 0.022 0.978 H
0.480 0.480 0.520 H
0.481 0.021 0.979 H
0.530 0.969 0.470 H
0.969 0.530 0.031 H
0.748 0.748 0.252 Au
```

The 12 most intense peaks (2θ from 15° to 90°), most intense first:
2θ (°)  I/Imax
30.85  100.0
29.93  54.0
53.65  20.9
53.79  20.7
55.42  18.9
42.74  10.5
42.96  10.4
45.49  8.8
74.90  7.9
18.57  6.9
62.20  6.8
80.36  6.6

(10)
Ba2AgHgAu6: theoretical powder diffractogram (copper Kα), based on a crystal structure in Alexandria, relaxed with PBE.

Atomic structure:
```
Ba2AgHgAu6
1.0
5.570 0.000 0.000
2.769 6.892 0.000
2.782 -0.097 6.997
Ba Ag Hg Au
2 1 1 6
direct
0.043 0.203 0.210 Ba
0.957 0.797 0.790 Ba
0.500 0.000 0.500 Ag
0.500 0.500 0.000 Hg
0.003 0.252 0.742 Au
0.337 0.411 0.415 Au
0.498 0.748 0.258 Au
0.502 0.252 0.742 Au
0.663 0.589 0.585 Au
0.997 0.748 0.258 Au
```

The 12 most intense peaks (2θ from 15° to 90°), most intense first:
2θ (°)  I/Imax
37.04  100.0
36.36  94.5
37.18  63.0
25.83  43.1
41.44  40.4
36.60  40.1
41.70  39.5
36.87  32.9
25.95  28.1
17.94  27.7
41.03  27.4
18.20  27.0

(11)
Ba3AgHg2Au6: theoretical powder diffractogram (copper Kα), based on a crystal structure in Alexandria, relaxed with PBE.

Atomic structure:
```
Ba3AgHg2Au6
1.0
6.680 0.000 0.000
-3.340 5.785 0.000
0.000 0.000 8.935
Ba Ag Hg Au
3 1 2 6
direct
0.000 0.000 0.000 Ba
0.333 0.667 0.631 Ba
0.667 0.333 0.369 Ba
0.000 0.000 0.500 Ag
0.333 0.667 0.022 Hg
0.667 0.333 0.978 Hg
0.186 0.372 0.296 Au
0.186 0.814 0.296 Au
0.372 0.186 0.704 Au
0.628 0.814 0.296 Au
0.814 0.186 0.704 Au
0.814 0.628 0.704 Au
```

The 12 most intense peaks (2θ from 15° to 90°), most intense first:
2θ (°)  I/Imax
32.54  100.0
33.50  68.0
37.03  64.7
30.00  41.5
51.65  39.8
54.99  37.3
18.27  36.3
43.62  36.2
63.91  24.2
26.69  24.1
30.92  22.0
67.72  15.0

(12)
BaInAg2Au: theoretical powder diffractogram (copper Kα), based on a crystal structure in Alexandria, relaxed with PBE.

Atomic structure:
```
BaInAg2Au
1.0
-2.236 2.327 6.305
2.236 -2.327 6.305
2.236 2.327 -6.305
Ba In Ag Au
1 1 2 1
direct
0.000 0.000 0.000 Ba
0.252 0.752 0.500 In
0.618 0.618 0.000 Ag
0.758 0.258 0.500 Ag
0.396 0.396 0.000 Au
```

The 12 most intense peaks (2θ from 15° to 90°), most intense first:
2θ (°)  I/Imax
31.15  100.0
40.00  43.2
38.69  34.5
40.34  30.6
29.16  30.2
28.62  26.6
40.69  26.1
58.61  25.3
57.13  21.6
41.09  21.2
27.66  16.7
57.71  15.5